Record 1
For Sm2Fe2I, a GGA-PBE-relaxed structure gives the theoretical powder X-ray diffraction pattern in this record (copper Kα).
Intensities are scaled so that the largest is 100.

```
data_Sm2Fe2I
_chemical_formula_sum 'Sm2 Fe2 I1'
_space_group_name_H-M_alt 'P -6 m 2'
_space_group_IT_number 187
_space_group_name_Hall 'P -6 2'
_cell_length_a 3.9670
_cell_length_b 3.9670
_cell_length_c 8.7464
_cell_angle_alpha 90.00
_cell_angle_beta 90.00
_cell_angle_gamma 120.00
loop_
_atom_site_label
_atom_site_fract_x
_atom_site_fract_y
_atom_site_fract_z
Sm1 0.0000 0.0000 0.2133
Fe1 0.3333 0.6667 0.0000
Fe2 0.6667 0.3333 0.0000
I1 0.6667 0.3333 0.5000
```

Peak list (10 most intense, 10 to 90 degrees two-theta, most intense first)
| 2θ (°) | Rel. int. | hkl |
| --- | --- | --- |
| 33.2 | 100 | 1 0 2 |
| 45.7 | 36 | 1 1 0 |
| 25.9 | 25 | 1 0 0 |
| 57.7 | 20 | 2 0 2 |
| 76.5 | 17 | 2 1 2 |
| 40.6 | 16 | 1 0 3 |
| 63.3 | 16 | 1 1 4 |
| 27.9 | 16 | 1 0 1 |
| 59.3 | 10 | 1 0 5 |
| 41.3 | 10 | 0 0 4 |

Record 2
For NaOs3Se5, a GGA-PBE-relaxed structure gives the theoretical powder X-ray diffraction pattern in this record (copper Kα).
Intensities are scaled so that the largest is 100.

```
data_NaOs3Se5
_chemical_formula_sum 'Na1 Os3 Se5'
_space_group_name_H-M_alt 'P 6/m m m'
_space_group_IT_number 191
_space_group_name_Hall '-P 6 2'
_cell_length_a 5.7980
_cell_length_b 5.7980
_cell_length_c 7.1258
_cell_angle_alpha 90.00
_cell_angle_beta 90.00
_cell_angle_gamma 120.00
loop_
_atom_site_label
_atom_site_fract_x
_atom_site_fract_y
_atom_site_fract_z
Na1 0.0000 0.0000 0.0000
Os1 0.0000 0.5000 0.5000
Se1 0.0000 0.0000 0.5000
Se2 0.3333 0.6667 0.2440
```

Peak list (10 most intense, 10 to 90 degrees two-theta, most intense first)
| 2θ (°) | Rel. int. | hkl |
| --- | --- | --- |
| 12.4 | 100 | 0 0 1 |
| 44.1 | 50 | 2 0 2 |
| 38.0 | 44 | 2 0 1 |
| 17.7 | 22 | 1 0 0 |
| 35.8 | 17 | 2 0 0 |
| 53.1 | 16 | 2 0 3 |
| 40.1 | 16 | 1 1 2 |
| 77.1 | 12 | 2 2 3 |
| 64.3 | 12 | 2 2 0 |
| 86.6 | 10 | 2 2 4 |

Record 3
For BaSrAs4Pd2, a GGA-PBE-relaxed structure gives the theoretical powder X-ray diffraction pattern in this record (copper Kα).
Intensities are scaled so that the largest is 100.

```
data_BaSrAs4Pd2
_chemical_formula_sum 'Ba2 Sr2 As8 Pd4'
_space_group_name_H-M_alt 'A m m 2'
_space_group_IT_number 38
_space_group_name_Hall 'A 2 -2'
_cell_length_a 4.6432
_cell_length_b 4.6362
_cell_length_c 17.3086
_cell_angle_alpha 90.00
_cell_angle_beta 90.00
_cell_angle_gamma 90.00
loop_
_atom_site_label
_atom_site_fract_x
_atom_site_fract_y
_atom_site_fract_z
Ba1 0.0000 0.0000 0.0000
Sr1 0.5000 0.0000 0.2112
As1 0.0000 0.0000 0.3530
As2 0.0000 0.0000 0.6422
As3 0.5000 0.0000 0.5708
As4 0.5000 0.0000 0.8518
Pd1 0.0000 0.0000 0.7876
Pd2 0.5000 0.0000 0.4195
```

Peak list (10 most intense, 10 to 90 degrees two-theta, most intense first)
| 2θ (°) | Rel. int. | hkl |
| --- | --- | --- |
| 38.8 | 100 | 2 0 0 |
| 31.4 | 95 | 1 1 3 |
| 32.3 | 68 | 0 1 5 |
| 27.7 | 42 | 1 1 1 |
| 36.7 | 41 | 1 0 6 |
| 51.3 | 36 | 2 1 5 |
| 56.1 | 34 | 2 2 0 |
| 10.2 | 29 | 0 0 2 |
| 54.5 | 26 | 1 2 6 |
| 65.7 | 22 | 3 1 3 |

Record 4
For Er3CoTe5, a GGA-PBE-relaxed structure gives the theoretical powder X-ray diffraction pattern in this record (copper Kα).
Intensities are scaled so that the largest is 100.

```
data_Er3CoTe5
_chemical_formula_sum 'Er3 Co1 Te5'
_space_group_name_H-M_alt 'P -6 2 m'
_space_group_IT_number 189
_space_group_name_Hall 'P -6 -2'
_cell_length_a 8.4164
_cell_length_b 8.4164
_cell_length_c 4.2154
_cell_angle_alpha 90.00
_cell_angle_beta 90.00
_cell_angle_gamma 120.00
loop_
_atom_site_label
_atom_site_fract_x
_atom_site_fract_y
_atom_site_fract_z
Er1 0.0000 0.2636 0.0000
Co1 0.0000 0.0000 0.5000
Te1 0.0000 0.7063 0.5000
Te2 0.3333 0.6667 0.0000
```

Peak list (10 most intense, 10 to 90 degrees two-theta, most intense first)
| 2θ (°) | Rel. int. | hkl |
| --- | --- | --- |
| 30.0 | 100 | 1 1 1 |
| 39.1 | 56 | 2 1 1 |
| 37.0 | 46 | 3 0 0 |
| 57.9 | 28 | 3 0 2 |
| 32.5 | 27 | 2 1 0 |
| 24.4 | 22 | 2 0 0 |
| 42.9 | 21 | 0 0 2 |
| 59.5 | 20 | 3 2 1 |
| 50.0 | 19 | 4 0 0 |
| 12.1 | 16 | 1 0 0 |

Record 5
For Ba2Au3, a GGA-PBE-relaxed structure gives the theoretical powder X-ray diffraction pattern in this record (copper Kα).
Intensities are scaled so that the largest is 100.

```
data_Ba2Au3
_chemical_formula_sum 'Ba4 Au6'
_space_group_name_H-M_alt 'I m m m'
_space_group_IT_number 71
_space_group_name_Hall '-I 2 2'
_cell_length_a 5.0563
_cell_length_b 5.7383
_cell_length_c 9.8719
_cell_angle_alpha 90.00
_cell_angle_beta 90.00
_cell_angle_gamma 90.00
loop_
_atom_site_label
_atom_site_fract_x
_atom_site_fract_y
_atom_site_fract_z
Ba1 0.0000 0.0000 0.1918
Au1 0.0000 0.2538 0.5000
Au2 0.0000 0.5000 0.0000
```

Peak list (10 most intense, 10 to 90 degrees two-theta, most intense first)
| 2θ (°) | Rel. int. | hkl |
| --- | --- | --- |
| 37.2 | 100 | 1 2 1 |
| 29.7 | 62 | 1 1 2 |
| 18.0 | 54 | 0 0 2 |
| 35.5 | 44 | 2 0 0 |
| 59.7 | 39 | 1 2 5 |
| 31.3 | 30 | 0 1 3 |
| 32.5 | 28 | 1 0 3 |
| 36.4 | 22 | 0 0 4 |
| 64.9 | 20 | 3 2 1 |
| 48.1 | 18 | 2 1 3 |

Record 6
For AlInAu, a GGA-PBE-relaxed structure gives the theoretical powder X-ray diffraction pattern in this record (copper Kα).
Intensities are scaled so that the largest is 100.

```
data_AlInAu
_chemical_formula_sum 'Al2 In2 Au2'
_space_group_name_H-M_alt 'P 42/m m c'
_space_group_IT_number 131
_space_group_name_Hall '-P 4c 2'
_cell_length_a 4.5008
_cell_length_b 4.5008
_cell_length_c 6.3727
_cell_angle_alpha 90.00
_cell_angle_beta 90.00
_cell_angle_gamma 90.00
loop_
_atom_site_label
_atom_site_fract_x
_atom_site_fract_y
_atom_site_fract_z
Al1 0.0000 0.0000 0.2500
In1 0.5000 0.5000 0.2500
Au1 0.0000 0.5000 0.0000
```

Peak list (10 most intense, 10 to 90 degrees two-theta, most intense first)
| 2θ (°) | Rel. int. | hkl |
| --- | --- | --- |
| 40.1 | 100 | 2 0 0 |
| 24.2 | 82 | 1 0 1 |
| 47.3 | 42 | 2 1 1 |
| 72.8 | 34 | 3 1 2 |
| 63.7 | 18 | 3 0 1 |
| 57.9 | 17 | 2 2 0 |
| 19.7 | 14 | 1 0 0 |
| 78.0 | 13 | 3 2 1 |
| 86.5 | 11 | 4 0 0 |
| 34.5 | 7 | 1 0 2 |

Record 7
For Tb2Sb5, a GGA-PBE-relaxed structure gives the theoretical powder X-ray diffraction pattern in this record (copper Kα).
Intensities are scaled so that the largest is 100.

```
data_Tb2Sb5
_chemical_formula_sum 'Tb8 Sb20'
_space_group_name_H-M_alt 'P 1 21/m 1'
_space_group_IT_number 11
_space_group_name_Hall '-P 2yb'
_cell_length_a 13.2580
_cell_length_b 4.2205
_cell_length_c 14.7455
_cell_angle_alpha 90.00
_cell_angle_beta 102.15
_cell_angle_gamma 90.00
loop_
_atom_site_label
_atom_site_fract_x
_atom_site_fract_y
_atom_site_fract_z
Tb1 0.0473 0.2500 0.3612
Tb2 0.3311 0.2500 0.5773
Tb3 0.3380 0.2500 0.8551
Tb4 0.3927 0.7500 0.2293
Sb1 0.0294 0.2500 0.0933
Sb2 0.1390 0.2500 0.6776
Sb3 0.1416 0.7500 0.2206
Sb4 0.1436 0.7500 0.5185
Sb5 0.1520 0.7500 0.8274
Sb6 0.2787 0.2500 0.0616
Sb7 0.2850 0.2500 0.3473
Sb8 0.4198 0.7500 0.0246
Sb9 0.4248 0.7500 0.7342
Sb10 0.4256 0.7500 0.4488
```

Peak list (10 most intense, 10 to 90 degrees two-theta, most intense first)
| 2θ (°) | Rel. int. | hkl |
| --- | --- | --- |
| 34.9 | 100 | 4 1 0 |
| 35.9 | 89 | 3 1 -4 |
| 29.9 | 85 | 1 1 3 |
| 29.6 | 69 | 3 1 0 |
| 42.9 | 65 | 0 2 0 |
| 34.5 | 62 | 1 1 4 |
| 36.6 | 46 | 1 0 -6 |
| 28.7 | 34 | 3 0 -4 |
| 67.6 | 32 | 5 1 7 |
| 32.7 | 30 | 0 1 4 |

Record 8
For LaPr2GaF3, a GGA-PBE-relaxed structure gives the theoretical powder X-ray diffraction pattern in this record (copper Kα).
Intensities are scaled so that the largest is 100.

```
data_LaPr2GaF3
_chemical_formula_sum 'La1 Pr2 Ga1 F3'
_space_group_name_H-M_alt 'P 4/m m m'
_space_group_IT_number 123
_space_group_name_Hall '-P 4 2'
_cell_length_a 5.4796
_cell_length_b 5.4796
_cell_length_c 5.5467
_cell_angle_alpha 90.00
_cell_angle_beta 90.00
_cell_angle_gamma 90.00
loop_
_atom_site_label
_atom_site_fract_x
_atom_site_fract_y
_atom_site_fract_z
La1 0.0000 0.0000 0.0000
Pr1 0.0000 0.5000 0.5000
Ga1 0.0000 0.0000 0.5000
F1 0.0000 0.5000 0.0000
F2 0.5000 0.5000 0.5000
```

Peak list (10 most intense, 10 to 90 degrees two-theta, most intense first)
| 2θ (°) | Rel. int. | hkl |
| --- | --- | --- |
| 32.7 | 100 | 2 0 0 |
| 28.1 | 78 | 1 1 1 |
| 46.6 | 73 | 2 0 2 |
| 16.2 | 65 | 1 0 0 |
| 32.3 | 52 | 0 0 2 |
| 16.0 | 37 | 0 0 1 |
| 58.1 | 37 | 2 2 2 |
| 36.6 | 37 | 2 0 1 |
| 46.9 | 36 | 2 2 0 |
| 55.6 | 25 | 3 1 1 |

Record 9
For LiNd2O4, a GGA-PBE-relaxed structure gives the theoretical powder X-ray diffraction pattern in this record (copper Kα).
Intensities are scaled so that the largest is 100.

Unit cell a=9.8500 b=9.8500 c=9.8500 alpha=90.00 beta=90.00 gamma=90.00
Space group Fd-3m (No. 227, origin choice 2)
Inequivalent atoms, fractional coordinates:
Li (0.1250, 0.1250, 0.1250) [8 per cell]
Nd (0.0000, 0.0000, 0.5000) [16 per cell]
O (0.0106, 0.0106, 0.7394) [32 per cell]

Peak list (10 most intense, 10 to 90 degrees two-theta, most intense first)
| 2θ (°) | Rel. int. | hkl |
| --- | --- | --- |
| 15.6 | 100 | 1 1 1 |
| 30.1 | 60 | 3 1 1 |
| 36.5 | 51 | 4 0 0 |
| 31.5 | 41 | 2 2 2 |
| 52.6 | 36 | 4 4 0 |
| 48.0 | 25 | 5 1 1 |
| 39.9 | 22 | 3 3 1 |
| 55.2 | 22 | 5 3 1 |
| 62.6 | 20 | 6 2 2 |
| 88.9 | 14 | 8 4 0 |

Record 10
For PrScGa4Ir2, a GGA-PBE-relaxed structure gives the theoretical powder X-ray diffraction pattern in this record (copper Kα).
Intensities are scaled so that the largest is 100.

```
data_PrScGa4Ir2
_chemical_formula_sum 'Pr1 Sc1 Ga4 Ir2'
_space_group_name_H-M_alt 'P 1 m 1'
_space_group_IT_number 6
_space_group_name_Hall 'P -2y'
_cell_length_a 4.2271
_cell_length_b 7.0284
_cell_length_c 5.4418
_cell_angle_alpha 90.00
_cell_angle_beta 112.66
_cell_angle_gamma 90.00
loop_
_atom_site_label
_atom_site_fract_x
_atom_site_fract_y
_atom_site_fract_z
Pr1 0.0000 0.0000 0.0000
Sc1 0.1490 0.5000 0.2986
Ga1 0.4320 0.3104 0.8619
Ga2 0.7133 0.2075 0.4278
Ir1 0.2835 0.0000 0.5683
Ir2 0.8670 0.5000 0.7310
```

Peak list (10 most intense, 10 to 90 degrees two-theta, most intense first)
| 2θ (°) | Rel. int. | hkl |
| --- | --- | --- |
| 34.4 | 100 | 1 2 0 |
| 38.1 | 65 | 0 1 2 |
| 43.0 | 63 | 1 2 1 |
| 17.7 | 63 | 0 0 1 |
| 36.6 | 62 | 1 1 -2 |
| 45.2 | 62 | 1 3 -1 |
| 36.5 | 62 | 1 1 1 |
| 26.2 | 62 | 1 1 -1 |
| 42.8 | 59 | 2 0 -1 |
| 25.3 | 35 | 0 2 0 |

Record 11
For KRbTcO3, a GGA-PBE-relaxed structure gives the theoretical powder X-ray diffraction pattern in this record (copper Kα).
Intensities are scaled so that the largest is 100.

```
data_KRbTcO3
_chemical_formula_sum 'K2 Rb2 Tc2 O6'
_space_group_name_H-M_alt 'P -1'
_space_group_IT_number 2
_space_group_name_Hall '-P 1'
_cell_length_a 6.3725
_cell_length_b 6.4229
_cell_length_c 7.2291
_cell_angle_alpha 90.19
_cell_angle_beta 90.01
_cell_angle_gamma 118.76
loop_
_atom_site_label
_atom_site_fract_x
_atom_site_fract_y
_atom_site_fract_z
K1 0.0000 0.0000 0.0000
K2 0.0000 0.0000 0.5000
Rb1 0.3404 0.6745 0.2655
Tc1 0.3275 0.6564 0.7581
O1 0.1270 0.3502 0.7528
O2 0.2371 0.8817 0.7498
O3 0.3525 0.2120 0.2501
```

Peak list (10 most intense, 10 to 90 degrees two-theta, most intense first)
| 2θ (°) | Rel. int. | hkl |
| --- | --- | --- |
| 24.6 | 100 | 0 0 2 |
| 27.4 | 85 | 1 1 0 |
| 27.8 | 84 | 1 -2 0 |
| 28.0 | 83 | 2 -1 0 |
| 29.4 | 57 | 1 0 2 |
| 29.3 | 57 | 0 1 -2 |
| 29.6 | 55 | -1 1 2 |
| 40.8 | 33 | 2 0 -2 |
| 41.2 | 33 | 2 -2 2 |
| 37.6 | 27 | -2 1 2 |

Record 12
For Gd2DyScIn2, a GGA-PBE-relaxed structure gives the theoretical powder X-ray diffraction pattern in this record (copper Kα).
Intensities are scaled so that the largest is 100.

```
data_Gd2DyScIn2
_chemical_formula_sum 'Gd2 Dy1 Sc1 In2'
_space_group_name_H-M_alt 'P -6 m 2'
_space_group_IT_number 187
_space_group_name_Hall 'P -6 2'
_cell_length_a 5.3099
_cell_length_b 5.3099
_cell_length_c 6.6968
_cell_angle_alpha 90.00
_cell_angle_beta 90.00
_cell_angle_gamma 120.00
loop_
_atom_site_label
_atom_site_fract_x
_atom_site_fract_y
_atom_site_fract_z
Gd1 0.0000 0.0000 0.2414
Dy1 0.6667 0.3333 0.5000
Sc1 0.3333 0.6667 0.0000
In1 0.3333 0.6667 0.5000
In2 0.6667 0.3333 0.0000
```

Peak list (10 most intense, 10 to 90 degrees two-theta, most intense first)
| 2θ (°) | Rel. int. | hkl |
| --- | --- | --- |
| 33.1 | 100 | 1 0 2 |
| 33.8 | 92 | 1 1 0 |
| 60.0 | 36 | 2 1 2 |
| 48.0 | 35 | 2 0 2 |
| 66.0 | 25 | 1 1 4 |
| 60.4 | 17 | 3 0 0 |
| 80.6 | 15 | 3 1 2 |
| 86.0 | 12 | 3 0 4 |
| 19.3 | 12 | 1 0 0 |
| 71.0 | 10 | 2 2 0 |

> Number 2 is which compound?

NaOs3Se5